# 1
Theoretical powder XRD pattern of K2SmCuCl6 for Cu Kα, from a PBE-relaxed structure.

The 8 most intense peaks (2θ = 10–90°), by angle:
2θ = 16.95°, I 966; 2θ = 24.06°, I 985; 2θ = 34.28°, I 1000; 2θ = 38.48°, I 478; 2θ = 42.32°, I 440; 2θ = 49.27°, I 652; 2θ = 52.48°, I 240; 2θ = 82.46°, I 267

Atomic structure:
Lattice parameters (Å, degrees): 7.398 7.398 7.398 60.00 60.00 60.00
Positions (direct):
1 K 0.250 0.250 0.250
2 K 0.750 0.750 0.750
3 Sm 0.000 0.000 0.000
4 Cu 0.500 0.500 0.500
5 Cl 0.257 0.257 0.743
6 Cl 0.257 0.743 0.257
7 Cl 0.257 0.743 0.743
8 Cl 0.743 0.257 0.257
9 Cl 0.743 0.257 0.743
10 Cl 0.743 0.743 0.257

# 2
Theoretical powder XRD pattern of K2TaCuCl6 for Cu Kα, from a PBE-relaxed structure.

The 8 most intense peaks (2θ = 10–90°), by angle:
2θ = 15.29°, I 395; 2θ = 17.67°, I 1000; 2θ = 25.09°, I 998; 2θ = 35.79°, I 885; 2θ = 40.18°, I 495; 2θ = 44.21°, I 444; 2θ = 51.51°, I 575; 2θ = 54.88°, I 247

Atomic structure:
Lattice parameters (Å, degrees): 7.097 7.097 7.097 60.00 60.00 60.00
Positions (direct):
1 K 0.250 0.250 0.250
2 K 0.750 0.750 0.750
3 Ta 0.000 0.000 0.000
4 Cu 0.500 0.500 0.500
5 Cl 0.248 0.248 0.752
6 Cl 0.248 0.752 0.248
7 Cl 0.248 0.752 0.752
8 Cl 0.752 0.248 0.248
9 Cl 0.752 0.248 0.752
10 Cl 0.752 0.752 0.248

# 3
Theoretical powder XRD pattern of K2TbCuCl6 for Cu Kα, from a PBE-relaxed structure.

The 8 most intense peaks (2θ = 10–90°), by angle:
2θ = 17.10°, I 987; 2θ = 24.28°, I 1000; 2θ = 34.60°, I 981; 2θ = 38.84°, I 491; 2θ = 42.72°, I 448; 2θ = 49.74°, I 640; 2θ = 52.98°, I 246; 2θ = 83.35°, I 266

Atomic structure:
Lattice parameters (Å, degrees): 7.333 7.333 7.333 60.00 60.00 60.00
Positions (direct):
1 K 0.250 0.250 0.250
2 K 0.750 0.750 0.750
3 Tb 0.000 0.000 0.000
4 Cu 0.500 0.500 0.500
5 Cl 0.255 0.255 0.745
6 Cl 0.255 0.745 0.255
7 Cl 0.255 0.745 0.745
8 Cl 0.745 0.255 0.255
9 Cl 0.745 0.255 0.745
10 Cl 0.745 0.745 0.255

# 4
Theoretical powder XRD pattern of LaMgNb2CuClO7 for Cu Kα, from a PBE-relaxed structure.

The 8 most intense peaks (2θ = 10–90°), by angle:
2θ = 26.62°, I 717; 2θ = 31.05°, I 1000; 2θ = 31.67°, I 942; 2θ = 44.00°, I 240; 2θ = 44.49°, I 629; 2θ = 52.60°, I 209; 2θ = 55.64°, I 397; 2θ = 56.80°, I 234

Atomic structure:
Lattice parameters (Å, degrees): 4.073 4.073 11.766 90.00 90.00 90.00
Positions (direct):
1 La 0.000 0.000 0.000
2 Mg 0.000 0.000 0.682
3 Nb 0.500 0.500 0.164
4 Nb 0.500 0.500 0.790
5 Cu 0.500 0.500 0.472
6 Cl 0.000 0.000 0.488
7 O 0.000 0.500 0.122
8 O 0.000 0.500 0.794
9 O 0.500 0.000 0.122
10 O 0.500 0.000 0.794
11 O 0.500 0.500 0.315
12 O 0.500 0.500 0.631
13 O 0.500 0.500 0.966

# 5
Theoretical powder XRD pattern of LaMgNb2CuClO7 for Cu Kα, from a PBE-relaxed structure.

The 8 most intense peaks (2θ = 10–90°), by angle:
2θ = 26.55°, I 485; 2θ = 26.73°, I 525; 2θ = 31.20°, I 1000; 2θ = 31.54°, I 679; 2θ = 31.70°, I 499; 2θ = 44.47°, I 387; 2θ = 44.94°, I 374; 2θ = 56.58°, I 351

Atomic structure:
Lattice parameters (Å, degrees): 4.034 4.074 11.852 90.00 90.00 90.00
Positions (direct):
1 La 0.000 0.000 0.000
2 Mg 0.500 0.000 0.370
3 Nb 0.500 0.500 0.184
4 Nb 0.500 0.500 0.826
5 Cu 0.500 0.500 0.520
6 Cl 0.000 0.000 0.489
7 O 0.000 0.500 0.156
8 O 0.000 0.500 0.865
9 O 0.500 0.000 0.193
10 O 0.500 0.000 0.867
11 O 0.500 0.500 0.015
12 O 0.500 0.500 0.355
13 O 0.500 0.500 0.674

# 6
Theoretical powder XRD pattern of La5MgCu4P4Cl2O4 for Cu Kα, from a PBE-relaxed structure.

The 8 most intense peaks (2θ = 10–90°), by angle:
2θ = 23.89°, I 435; 2θ = 27.59°, I 566; 2θ = 31.38°, I 256; 2θ = 32.63°, I 1000; 2θ = 33.31°, I 264; 2θ = 36.52°, I 457; 2θ = 44.96°, I 558; 2θ = 56.65°, I 399

Atomic structure:
Lattice parameters (Å, degrees): 24.509 24.509 24.509 170.56 170.56 13.36
Positions (direct):
1 La 0.000 0.000 0.000
2 La 0.163 0.163 0.000
3 La 0.388 0.388 0.000
4 La 0.612 0.612 0.000
5 La 0.837 0.837 0.000
6 Mg 0.250 0.750 0.500
7 Cu 0.052 0.552 0.500
8 Cu 0.448 0.948 0.500
9 Cu 0.552 0.052 0.500
10 Cu 0.948 0.448 0.500
11 P 0.077 0.077 0.000
12 P 0.477 0.477 0.000
13 P 0.523 0.523 0.000
14 P 0.923 0.923 0.000
15 Cl 0.304 0.304 0.000
16 Cl 0.696 0.696 0.000
17 O 0.139 0.639 0.500
18 O 0.361 0.861 0.500
19 O 0.639 0.139 0.500
20 O 0.861 0.361 0.500

Q: What is the formula in the fifth record?
A: LaMgNb2CuClO7